For BaIn2SnBi2, DFT lattice parameters and positions (PBE) gives the computed X-ray powder pattern in this record (CuKα).

```
BaIn2SnBi2
1.0
5.265 0.000 0.000
0.000 9.831 0.000
0.000 0.000 8.134
Ba In Sn Bi
2 4 2 4
Direct
0.000 0.084 0.000
0.000 0.916 0.500
0.000 0.331 0.327
0.000 0.669 0.827
0.500 0.429 0.035
0.500 0.571 0.535
0.500 0.187 0.684
0.500 0.813 0.184
0.000 0.364 0.703
0.000 0.636 0.203
0.500 0.133 0.302
0.500 0.867 0.802
```

Top 10 peaks for 10° ≤ 2θ ≤ 80°, most intense first:
2θ/deg  I (rel.)
29.2  100
27.1  81
34.1  77
32.2  55
34.3  42
49.1  31
39.2  28
62.7  24
53.2  19
21.1  18

For TlCd2Hg, DFT lattice parameters and positions (PBE) gives the computed X-ray powder pattern in this record (CuKα).

```
TlCd2Hg
1.0
3.696 0.000 0.000
0.000 4.193 0.000
0.000 0.000 6.756
Tl Cd Hg
1 2 1
Direct
0.000 0.000 0.000
0.000 0.000 0.498
0.500 0.500 0.264
0.500 0.500 0.732
```

Top 10 peaks for 10° ≤ 2θ ≤ 80°, most intense first:
2θ/deg  I (rel.)
32.3  100
34.1  85
36.0  73
57.4  38
61.3  31
64.6  25
43.2  23
49.3  15
67.6  12
54.3  11

For PrNF3, DFT lattice parameters and positions (PBE) gives the computed X-ray powder pattern in this record (CuKα).

```
PrNF3
1.0
4.627 0.000 0.000
0.000 7.475 0.000
-0.018 0.000 6.416
Pr N F
2 2 6
Direct
0.000 0.250 0.050
0.000 0.750 0.950
0.500 0.250 0.543
0.500 0.750 0.457
0.000 0.032 0.791
0.000 0.468 0.791
0.000 0.532 0.209
0.000 0.968 0.209
0.500 0.250 0.071
0.500 0.750 0.929
```

Top 10 peaks for 10° ≤ 2θ ≤ 80°, most intense first:
2θ/deg  I (rel.)
13.8  100
23.7  51
19.2  46
33.8  30
27.6  29
23.8  25
36.9  23
48.4  20
41.9  17
54.8  16

For BaSmAs2Pt4, DFT lattice parameters and positions (PBE) gives the computed X-ray powder pattern in this record (CuKα).

```
BaSmAs2Pt4
1.0
4.136 0.000 0.000
0.000 4.136 0.000
0.000 0.000 10.755
Ba Sm As Pt
1 1 2 4
Direct
0.000 0.000 0.000
0.000 0.000 0.500
0.500 0.500 0.171
0.500 0.500 0.829
0.000 0.500 0.298
0.000 0.500 0.702
0.500 0.000 0.298
0.500 0.000 0.702
```

Top 10 peaks for 10° ≤ 2θ ≤ 80°, most intense first:
2θ/deg  I (rel.)
34.9  100
39.8  62
43.8  57
16.5  42
27.2  38
52.8  32
74.7  23
63.6  19
77.7  18
24.8  16

For Pu2PdPt3, DFT lattice parameters and positions (PBE) gives the computed X-ray powder pattern in this record (CuKα).

```
Pu2PdPt3
1.0
2.730 1.576 4.434
-2.730 1.576 4.434
0.000 -3.153 4.434
Pu Pd Pt
2 1 3
Direct
0.124 0.124 0.124
0.876 0.876 0.876
0.500 0.500 0.500
0.000 0.500 0.500
0.500 0.000 0.500
0.500 0.500 0.000
```

Top 10 peaks for 10° ≤ 2θ ≤ 80°, most intense first:
2θ/deg  I (rel.)
38.7  100
32.9  33
40.5  29
38.8  28
62.6  28
68.8  18
69.1  17
58.6  16
32.8  16
62.7  11

For LiNb2P2O10, DFT lattice parameters and positions (PBE) gives the computed X-ray powder pattern in this record (CuKα).

```
LiNb2P2O10
1.0
4.779 -4.622 0.000
4.779 4.622 0.000
-0.158 0.000 4.144
Li Nb P O
1 2 2 10
Direct
0.000 0.000 0.000
0.263 0.263 0.757
0.737 0.737 0.243
0.246 0.754 0.500
0.754 0.246 0.500
0.054 0.758 0.281
0.242 0.946 0.719
0.248 0.248 0.194
0.248 0.564 0.705
0.436 0.752 0.295
0.564 0.248 0.705
0.752 0.436 0.295
0.752 0.752 0.806
0.758 0.054 0.281
0.946 0.242 0.719
```

Top 10 peaks for 10° ≤ 2θ ≤ 80°, most intense first:
2θ/deg  I (rel.)
26.8  100
25.6  53
25.0  51
47.1  21
55.3  20
46.0  20
19.2  17
63.9  14
18.6  13
48.1  12

For B5C3, DFT lattice parameters and positions (PBE) gives the computed X-ray powder pattern in this record (CuKα).

```
B5C3
1.0
2.660 0.000 0.000
0.000 5.170 0.000
0.000 0.000 4.175
B C
5 3
Direct
0.000 0.000 0.000
0.000 0.222 0.309
0.000 0.500 0.946
0.000 0.778 0.309
0.500 0.000 0.696
0.500 0.266 0.511
0.500 0.500 0.728
0.500 0.734 0.511
```

Top 10 peaks for 10° ≤ 2θ ≤ 80°, most intense first:
2θ/deg  I (rel.)
41.1  100
40.2  96
21.3  51
67.6  48
70.9  16
27.5  11
73.2  11
56.0  9
77.4  8
78.0  5

For Pr2NClO, DFT lattice parameters and positions (PBE) gives the computed X-ray powder pattern in this record (CuKα).

```
Pr2NClO
1.0
4.056 0.000 0.000
-2.028 3.513 0.000
0.000 0.000 7.259
Pr N Cl O
2 1 1 1
Direct
0.000 0.000 0.000
0.333 0.667 0.388
0.000 0.000 0.318
0.667 0.333 0.705
0.333 0.667 0.048
```

Top 10 peaks for 10° ≤ 2θ ≤ 80°, most intense first:
2θ/deg  I (rel.)
28.2  100
35.6  40
44.7  32
59.5  20
25.4  18
53.7  17
24.5  15
57.1  15
12.2  15
45.5  14

For TbHo4Al5, DFT lattice parameters and positions (PBE) gives the computed X-ray powder pattern in this record (CuKα).

```
TbHo4Al5
1.0
3.574 0.000 0.000
0.000 3.574 0.000
0.000 0.000 18.092
Tb Ho Al
1 4 5
Direct
0.000 0.000 0.000
0.000 0.000 0.202
0.000 0.000 0.401
0.000 0.000 0.599
0.000 0.000 0.798
0.500 0.500 0.102
0.500 0.500 0.301
0.500 0.500 0.500
0.500 0.500 0.699
0.500 0.500 0.898
```

Top 10 peaks for 10° ≤ 2θ ≤ 80°, most intense first:
2θ/deg  I (rel.)
35.3  100
24.9  62
35.5  49
63.6  36
24.6  32
43.7  28
63.2  18
51.1  17
57.1  13
57.5  13

For Nd2SmPaRu2, DFT lattice parameters and positions (PBE) gives the computed X-ray powder pattern in this record (CuKα).

```
Nd2SmPaRu2
1.0
-3.530 6.779 3.433
3.530 -6.779 3.433
3.530 6.779 -3.433
Nd Sm Pa Ru
4 2 2 4
Direct
0.195 0.212 0.407
0.305 0.712 0.017
0.695 0.288 0.983
0.805 0.788 0.593
0.250 0.750 0.500
0.750 0.250 0.500
0.250 0.250 0.000
0.750 0.750 0.000
0.095 0.793 0.889
0.405 0.293 0.698
0.595 0.707 0.302
0.905 0.207 0.111
```

Top 10 peaks for 10° ≤ 2θ ≤ 80°, most intense first:
2θ/deg  I (rel.)
36.5  100
29.2  77
28.5  76
32.1  73
13.1  46
37.3  32
36.8  31
14.1  31
49.8  21
44.1  20

For MgPa3Se6, DFT lattice parameters and positions (PBE) gives the computed X-ray powder pattern in this record (CuKα).

```
MgPa3Se6
1.0
5.621 -6.797 0.000
5.621 6.797 0.000
0.000 0.000 6.900
Mg Pa Se
2 6 12
Direct
0.198 0.802 0.500
0.802 0.198 0.000
0.080 0.270 0.525
0.270 0.080 0.025
0.405 0.595 0.132
0.595 0.405 0.632
0.730 0.920 0.525
0.920 0.730 0.025
0.028 0.972 0.316
0.096 0.554 0.299
0.230 0.770 0.865
0.295 0.377 0.830
0.377 0.295 0.330
0.446 0.904 0.299
0.554 0.096 0.799
0.623 0.705 0.830
0.705 0.623 0.330
0.770 0.230 0.365
0.904 0.446 0.799
0.972 0.028 0.816
```

Top 10 peaks for 10° ≤ 2θ ≤ 80°, most intense first:
2θ/deg  I (rel.)
24.3  100
36.0  97
33.6  90
16.4  76
24.8  75
41.0  59
37.1  48
18.3  29
27.8  29
48.6  28

For Cs8Rb6Ag, DFT lattice parameters and positions (PBE) gives the computed X-ray powder pattern in this record (CuKα).

```
Cs8Rb6Ag
1.0
13.956 0.000 0.000
-6.978 12.087 0.000
0.000 0.000 8.598
Cs Rb Ag
8 6 1
Direct
0.043 0.241 0.246
0.198 0.957 0.246
0.241 0.198 0.754
0.333 0.667 0.252
0.667 0.333 0.748
0.759 0.802 0.246
0.802 0.043 0.754
0.957 0.759 0.754
0.097 0.483 0.750
0.386 0.903 0.750
0.483 0.386 0.250
0.517 0.614 0.750
0.614 0.097 0.250
0.903 0.517 0.250
0.000 0.000 0.000
```

Top 10 peaks for 10° ≤ 2θ ≤ 80°, most intense first:
2θ/deg  I (rel.)
22.0  100
34.0  26
37.0  26
28.5  26
40.1  23
20.7  22
40.9  19
54.2  17
19.4  16
55.1  12

For AcGeH2Rh2, DFT lattice parameters and positions (PBE) gives the computed X-ray powder pattern in this record (CuKα).

```
AcGeH2Rh2
1.0
5.654 0.000 0.000
0.000 5.654 0.000
-1.474 0.000 6.343
Ac Ge H Rh
2 2 4 4
Direct
0.202 0.250 0.323
0.798 0.750 0.677
0.317 0.750 0.090
0.683 0.250 0.910
0.128 0.250 0.708
0.274 0.750 0.616
0.726 0.250 0.384
0.872 0.750 0.292
0.320 0.003 0.786
0.320 0.497 0.786
0.680 0.503 0.214
0.680 0.997 0.214
```

Top 10 peaks for 10° ≤ 2θ ≤ 80°, most intense first:
2θ/deg  I (rel.)
39.9  100
24.6  90
37.1  87
32.4  81
32.5  60
21.1  58
28.1  55
22.5  45
66.1  28
51.2  28